For Li6Mn5O12, a PBE+U-relaxed structure gives the simulated powder XRD pattern in this record (Cu Kα).

Most intense lines, 2θ from 10° to 90°, by angle:
2θ/deg, I_rel, (hkl)
21.13, 100, 1 1 -1
22.57, 9, 0 2 1
27.90, 49, 0 2 2
36.89, 10, 1 1 3
42.27, 38, 2 0 2
44.44, 71, 1 3 -3
62.61, 21, 3 3 -1
63.39, 19, 1 3 5
64.57, 9, 0 6 0
64.77, 9, 2 0 -6

Atomic structure:
Cell lengths 5.1919, 8.6604, 9.5786 Å; angles 90.00, 98.04, 90.00 degrees
Space group C2 (No. 5)
Asymmetric unit:
Li: 0.0000 0.0000 0.0000
Li: 0.0000 0.3351 0.0000
Li: 0.2303 0.1700 0.2371
Li: 0.2312 0.8456 0.2337
Mn: 0.0000 0.1870 0.5000
Mn: 0.0000 0.6762 0.0000
Mn: 0.0000 0.8411 0.5000
Mn: 0.2331 0.5051 0.2460
O: 0.0718 0.0180 0.3751
O: 0.0969 0.5110 0.8668
O: 0.1254 0.8301 0.8815
O: 0.1605 0.3329 0.3818
O: 0.1618 0.6961 0.3886
O: 0.1636 0.1610 0.8788